(1)
Simulated powder X-ray diffraction pattern
Compound: Tb2SmH6
Radiation: Cu Kα (weighted mean of Kα1 and Kα2)
Structure: a DFT-relaxed cell (PBE, Alexandria)

Structure:
a b c (Å): 3.7262 3.7262 15.8071
angles (deg): 90.00 90.00 90.00
Space group I4/mmm (No. 139)
Symmetry-distinct sites (fractional):
Tb: 0.0000 0.0000 0.1679
Sm: 0.0000 0.0000 0.5000
H: 0.0000 0.5000 0.0868
H: 0.0000 0.5000 0.2500

Main lines, in order of falling intensity (2θ from 10° to 80°):
29.36°, d = 3.042 Å, rel. 100.0, (1 0 3)
34.03°, d = 2.635 Å, rel. 48.9, (1 1 0)
58.05°, d = 1.589 Å, rel. 44.1, (2 1 3)
48.89°, d = 1.863 Å, rel. 37.8, (2 0 0)
79.24°, d = 1.209 Å, rel. 17.9, (3 0 3)
60.90°, d = 1.521 Å, rel. 12.5, (2 0 6)
71.63°, d = 1.317 Å, rel. 6.0, (2 2 0)

=====

(2)
Simulated powder X-ray diffraction pattern
Compound: Tb3SmH8
Radiation: Cu Kα (weighted mean of Kα1 and Kα2)
Structure: a DFT-relaxed cell (PBE, Alexandria)

Structure:
a b c (Å): 5.2554 5.2554 5.2554
angles (deg): 90.00 90.00 90.00
Space group Pm-3m (No. 221)
Symmetry-distinct sites (fractional):
Tb: 0.0000 0.0000 0.5000
Sm: 0.5000 0.5000 0.5000
H: 0.2462 0.2462 0.2462

Main lines, in order of falling intensity (2θ from 10° to 80°):
29.44°, d = 3.034 Å, rel. 100.0, (1 1 1)
34.12°, d = 2.628 Å, rel. 49.0, (2 0 0)
58.22°, d = 1.585 Å, rel. 44.0, (3 1 1)
49.03°, d = 1.858 Å, rel. 37.8, (2 2 0)
79.50°, d = 1.206 Å, rel. 17.9, (3 3 1)
61.08°, d = 1.517 Å, rel. 12.5, (2 2 2)
71.86°, d = 1.314 Å, rel. 6.0, (4 0 0)

=====

(3)
Simulated powder X-ray diffraction pattern
Compound: Sm3TeH
Radiation: Cu Kα (weighted mean of Kα1 and Kα2)
Structure: a DFT-relaxed cell (PBE, Alexandria)

Structure:
a b c (Å): 11.8933 14.2876 6.2088
angles (deg): 90.00 98.27 90.00
Space group C2/c (No. 15)
Symmetry-distinct sites (fractional):
Sm: 0.1062 0.1294 0.0216
Sm: 0.1090 0.3021 0.5728
Sm: 0.1245 0.4431 0.1162
Te: 0.1619 0.0887 0.5240
H: 0.0000 0.3487 0.2500
H: 0.0000 0.4308 0.7500

Main lines, in order of falling intensity (2θ from 10° to 80°):
31.74°, d = 2.819 Å, rel. 100.0, (2 4 -1)
30.38°, d = 2.942 Å, rel. 95.6, (4 0 0)
33.74°, d = 2.657 Å, rel. 71.2, (2 4 1)
29.07°, d = 3.072 Å, rel. 59.8, (0 0 2)
31.45°, d = 2.844 Å, rel. 55.3, (3 3 -1)
30.84°, d = 2.900 Å, rel. 42.2, (2 0 -2)
32.24°, d = 2.777 Å, rel. 33.9, (1 5 0)
51.45°, d = 1.776 Å, rel. 33.1, (0 4 3)
25.47°, d = 3.497 Å, rel. 32.2, (1 3 1)
34.83°, d = 2.576 Å, rel. 31.4, (2 0 2)

=====

(4)
Simulated powder X-ray diffraction pattern
Compound: Sm2Y4Te3H2
Radiation: Cu Kα (weighted mean of Kα1 and Kα2)
Structure: a DFT-relaxed cell (PBE, Alexandria)

Structure:
a b c (Å): 4.4860 4.4860 26.4481
angles (deg): 90.00 90.00 90.00
Space group I4/mmm (No. 139)
Symmetry-distinct sites (fractional):
Sm: 0.0000 0.0000 0.2068
Y: 0.0000 0.5000 0.0841
Te: 0.0000 0.0000 0.3283
Te: 0.0000 0.0000 0.5000
H: 0.0000 0.0000 0.0684

Main lines, in order of falling intensity (2θ from 10° to 80°):
34.85°, d = 2.575 Å, rel. 100.0, (1 1 6)
40.20°, d = 2.243 Å, rel. 64.9, (2 0 0)
28.95°, d = 3.085 Å, rel. 58.9, (1 1 2)
30.94°, d = 2.890 Å, rel. 57.9, (1 0 7)
31.28°, d = 2.860 Å, rel. 30.4, (1 1 4)
51.58°, d = 1.772 Å, rel. 27.4, (2 1 7)
69.62°, d = 1.350 Å, rel. 25.6, (3 1 6)
58.16°, d = 1.586 Å, rel. 21.6, (2 2 0)
20.08°, d = 4.423 Å, rel. 18.3, (1 0 1)
53.57°, d = 1.711 Å, rel. 15.2, (2 0 10)

=====

(5)
Simulated powder X-ray diffraction pattern
Compound: Sm2ThH8
Radiation: Cu Kα (weighted mean of Kα1 and Kα2)
Structure: a DFT-relaxed cell (PBE, Alexandria)

Structure:
a b c (Å): 3.6818 5.6712 11.0955
angles (deg): 90.00 90.00 90.00
Space group Immm (No. 71)
Symmetry-distinct sites (fractional):
Sm: 0.0000 0.0000 0.1678
Th: 0.0000 0.0000 0.5000
H: 0.0000 0.2316 0.0000
H: 0.0000 0.2576 0.3362
H: 0.0000 0.5000 0.1516

Main lines, in order of falling intensity (2θ from 10° to 80°):
28.87°, d = 3.093 Å, rel. 100.0, (1 1 0)
34.37°, d = 2.609 Å, rel. 31.4, (1 0 3)
47.34°, d = 1.920 Å, rel. 27.3, (1 2 3)
31.55°, d = 2.836 Å, rel. 19.7, (0 2 0)
54.54°, d = 1.682 Å, rel. 17.4, (1 3 0)
58.14°, d = 1.587 Å, rel. 14.3, (1 1 6)
58.30°, d = 1.583 Å, rel. 14.2, (2 1 3)
59.70°, d = 1.549 Å, rel. 6.6, (0 2 6)
59.91°, d = 1.544 Å, rel. 6.5, (2 2 0)
76.46°, d = 1.246 Å, rel. 6.5, (1 4 3)

=====

(6)
Simulated powder X-ray diffraction pattern
Compound: Sm5Tl4H
Radiation: Cu Kα (weighted mean of Kα1 and Kα2)
Structure: a DFT-relaxed cell (PBE, Alexandria)

Structure:
a b c (Å): 9.6377 9.6377 5.9373
angles (deg): 90.00 90.00 90.00
Space group I4 (No. 79)
Symmetry-distinct sites (fractional):
Sm: 0.0000 0.0000 0.0000
Sm: 0.1265 0.7810 0.5014
Tl: 0.0436 0.6616 0.0038
H: 0.0000 0.0000 0.6005

Main lines, in order of falling intensity (2θ from 10° to 80°):
31.67°, d = 2.825 Å, rel. 100.0, (3 0 1)
30.10°, d = 2.969 Å, rel. 47.4, (0 0 2)
29.30°, d = 3.048 Å, rel. 37.0, (3 1 0)
36.88°, d = 2.437 Å, rel. 36.8, (2 3 1)
42.51°, d = 2.127 Å, rel. 27.2, (3 1 2)
60.48°, d = 1.531 Å, rel. 23.1, (6 1 1)
54.45°, d = 1.685 Å, rel. 22.0, (3 0 3)
39.68°, d = 2.272 Å, rel. 16.5, (3 3 0)
50.60°, d = 1.804 Å, rel. 16.4, (3 3 2)
69.31°, d = 1.356 Å, rel. 12.6, (2 6 2)

=====

(7)
Simulated powder X-ray diffraction pattern
Compound: Sm2TlH
Radiation: Cu Kα (weighted mean of Kα1 and Kα2)
Structure: a DFT-relaxed cell (PBE, Alexandria)

Structure:
a b c (Å): 5.5531 12.4072 5.4959
angles (deg): 90.00 90.00 90.00
Space group Cccm (No. 66)
Symmetry-distinct sites (fractional):
Sm: 0.2500 0.0971 0.0000
Tl: 0.2500 0.2500 0.5000
H: 0.0000 0.0000 0.2500

Main lines, in order of falling intensity (2θ from 10° to 80°):
31.50°, d = 2.840 Å, rel. 100.0, (1 3 1)
32.24°, d = 2.777 Å, rel. 24.4, (2 0 0)
32.59°, d = 2.748 Å, rel. 23.7, (0 0 2)
57.03°, d = 1.615 Å, rel. 19.2, (3 3 1)
57.47°, d = 1.604 Å, rel. 18.4, (1 3 3)
46.50°, d = 1.953 Å, rel. 18.0, (2 0 2)
65.77°, d = 1.420 Å, rel. 10.8, (2 6 2)
55.40°, d = 1.658 Å, rel. 9.1, (2 6 0)
55.62°, d = 1.652 Å, rel. 9.0, (0 6 2)
43.78°, d = 2.068 Å, rel. 9.0, (0 6 0)

=====

(8)
Simulated powder X-ray diffraction pattern
Compound: Sm3TlH
Radiation: Cu Kα (weighted mean of Kα1 and Kα2)
Structure: a DFT-relaxed cell (PBE, Alexandria)

Structure:
a b c (Å): 9.8457 15.6055 6.7291
angles (deg): 90.00 90.00 90.00
Space group Cmce (No. 64)
Symmetry-distinct sites (fractional):
Sm: 0.0000 0.0442 0.2492
Sm: 0.0000 0.2402 0.5140
Sm: 0.2500 0.1068 0.7500
Tl: 0.2500 0.1697 0.2500
H: 0.0000 0.0885 0.5865

Main lines, in order of falling intensity (2θ from 10° to 80°):
32.18°, d = 2.782 Å, rel. 100.0, (2 4 1)
29.21°, d = 3.058 Å, rel. 58.0, (2 4 0)
34.27°, d = 2.617 Å, rel. 48.8, (2 2 2)
36.50°, d = 2.461 Å, rel. 36.5, (4 0 0)
26.48°, d = 3.366 Å, rel. 29.1, (0 0 2)
63.03°, d = 1.475 Å, rel. 27.5, (2 4 4)
50.46°, d = 1.809 Å, rel. 19.1, (2 4 3)
35.22°, d = 2.548 Å, rel. 16.8, (0 4 2)
67.44°, d = 1.389 Å, rel. 13.8, (4 0 4)
45.66°, d = 1.987 Å, rel. 13.7, (4 0 2)

=====

(9)
Simulated powder X-ray diffraction pattern
Compound: SmTm3H8
Radiation: Cu Kα (weighted mean of Kα1 and Kα2)
Structure: a DFT-relaxed cell (PBE, Alexandria)

Structure:
a b c (Å): 5.1398 5.1398 5.1398
angles (deg): 90.00 90.00 90.00
Space group Pm-3m (No. 221)
Symmetry-distinct sites (fractional):
Sm: 0.0000 0.0000 0.0000
Tm: 0.0000 0.5000 0.5000
H: 0.2576 0.2576 0.2576

Main lines, in order of falling intensity (2θ from 10° to 80°):
30.12°, d = 2.967 Å, rel. 100.0, (1 1 1)
34.91°, d = 2.570 Å, rel. 49.0, (2 0 0)
59.66°, d = 1.550 Å, rel. 43.7, (3 1 1)
50.20°, d = 1.817 Å, rel. 37.4, (2 2 0)
62.61°, d = 1.484 Å, rel. 12.4, (2 2 2)
73.73°, d = 1.285 Å, rel. 5.9, (4 0 0)

=====

(10)
Simulated powder X-ray diffraction pattern
Compound: Sm2TmH8
Radiation: Cu Kα (weighted mean of Kα1 and Kα2)
Structure: a DFT-relaxed cell (PBE, Alexandria)

Structure:
a b c (Å): 3.7225 5.1533 11.1436
angles (deg): 90.00 90.00 90.00
Space group Immm (No. 71)
Symmetry-distinct sites (fractional):
Sm: 0.0000 0.0000 0.1680
Tm: 0.0000 0.0000 0.5000
H: 0.0000 0.2480 0.0000
H: 0.0000 0.2539 0.3450
H: 0.0000 0.5000 0.1649

Main lines, in order of falling intensity (2θ from 10° to 80°):
29.63°, d = 3.015 Å, rel. 100.0, (1 1 0)
34.10°, d = 2.629 Å, rel. 34.2, (1 0 3)
58.30°, d = 1.583 Å, rel. 30.0, (2 1 3)
49.53°, d = 1.840 Å, rel. 25.4, (1 2 3)
34.82°, d = 2.577 Å, rel. 16.2, (0 2 0)
59.26°, d = 1.559 Å, rel. 14.3, (1 3 0)
61.50°, d = 1.508 Å, rel. 12.7, (2 2 0)
48.94°, d = 1.861 Å, rel. 6.6, (2 0 0)
49.05°, d = 1.857 Å, rel. 6.5, (0 0 6)
71.80°, d = 1.315 Å, rel. 4.1, (2 0 6)

=====

(11)
Simulated powder X-ray diffraction pattern
Compound: SmV2H8
Radiation: Cu Kα (weighted mean of Kα1 and Kα2)
Structure: a DFT-relaxed cell (PBE, Alexandria)

Structure:
a b c (Å): 4.5567 7.7975 4.7577
angles (deg): 90.00 91.24 90.00
Space group Cm (No. 8)
Symmetry-distinct sites (fractional):
Sm: 0.0000 0.0000 0.0000
V: 0.4710 0.1660 0.4845
H: 0.0976 0.1260 0.4149
H: 0.2016 0.5000 0.3739
H: 0.2540 0.2778 0.7343
H: 0.4378 0.0000 0.7395
H: 0.4436 0.1756 0.1212

Main lines, in order of falling intensity (2θ from 10° to 80°):
29.19°, d = 3.059 Å, rel. 100.0, (1 1 -1)
29.63°, d = 3.015 Å, rel. 95.0, (0 2 1)
29.74°, d = 3.004 Å, rel. 94.1, (1 1 1)
39.93°, d = 2.258 Å, rel. 66.7, (1 3 0)
22.60°, d = 3.934 Å, rel. 45.0, (1 1 0)
50.58°, d = 1.805 Å, rel. 42.3, (0 4 1)
37.83°, d = 2.378 Å, rel. 38.3, (0 0 2)
56.52°, d = 1.628 Å, rel. 33.9, (1 3 2)
39.56°, d = 2.278 Å, rel. 33.6, (2 0 0)
55.85°, d = 1.646 Å, rel. 24.7, (1 3 -2)

=====

(12)
Simulated powder X-ray diffraction pattern
Compound: SmY3H8
Radiation: Cu Kα (weighted mean of Kα1 and Kα2)
Structure: a DFT-relaxed cell (PBE, Alexandria)

Structure:
a b c (Å): 5.2236 5.2236 10.5360
angles (deg): 90.00 90.00 90.00
Space group I4/mmm (No. 139)
Symmetry-distinct sites (fractional):
Sm: 0.0000 0.0000 0.0000
Y: 0.0000 0.0000 0.5000
Y: 0.0000 0.5000 0.2500
H: 0.2461 0.2461 0.3728

Main lines, in order of falling intensity (2θ from 10° to 80°):
29.54°, d = 3.024 Å, rel. 100.0, (1 1 2)
34.34°, d = 2.612 Å, rel. 31.5, (2 0 0)
58.56°, d = 1.576 Å, rel. 27.8, (3 1 2)
49.12°, d = 1.855 Å, rel. 24.7, (2 0 4)
34.04°, d = 2.634 Å, rel. 16.1, (0 0 4)
58.17°, d = 1.586 Å, rel. 14.2, (1 1 6)
49.35°, d = 1.847 Å, rel. 12.2, (2 2 0)
61.30°, d = 1.512 Å, rel. 11.8, (2 2 4)
79.69°, d = 1.203 Å, rel. 11.2, (3 1 6)
18.96°, d = 4.680 Å, rel. 5.3, (1 0 1)